The following is a simulated powder diffraction line list of YIBrO4. It was derived from the GGA-PBE geometry in Alexandria, using copper Kα.
Neutral-atom scattering factors, no anomalous dispersion.

Crystal structure
abc: 6.5417 6.5417 6.5338
angles: 91.83 91.83 63.56
Positions (direct):
Y: 0.2308 0.2308 0.1630
Y: 0.7692 0.7692 0.8370
I: 0.1255 0.1255 0.6618
I: 0.8745 0.8745 0.3382
Br: 0.4445 0.4445 0.8375
Br: 0.5555 0.5555 0.1625
O: 0.0125 0.6300 0.1514
O: 0.0466 0.0466 0.2431
O: 0.2752 0.2752 0.5070
O: 0.3700 0.9875 0.8486
O: 0.6300 0.0125 0.1514
O: 0.7248 0.7248 0.4930
O: 0.9534 0.9534 0.7569
O: 0.9875 0.3700 0.8486

The 6 most intense peaks (10° ≤ 2θ ≤ 80°), in order of rising 2θ:
2θ/deg	intensity
20.17	40
25.86	100
27.33	64
30.21	55
31.05	57
31.64	30

=====

The following is a simulated powder diffraction line list of Ac2CuP3Ir4. It was derived from the GGA-PBE geometry in Alexandria, using copper Kα.
Neutral-atom scattering factors, no anomalous dispersion.

Crystal structure
abc: 4.2346 4.2346 10.0473
angles: 90.00 90.00 90.00
Positions (direct):
Ac: 0.0000 0.5000 0.2413
Ac: 0.5000 0.0000 0.7587
Cu: 0.5000 0.5000 0.0000
P: 0.0000 0.0000 0.0000
P: 0.0000 0.5000 0.6347
P: 0.5000 0.0000 0.3653
Ir: 0.0000 0.0000 0.5000
Ir: 0.0000 0.5000 0.8698
Ir: 0.5000 0.0000 0.1302
Ir: 0.5000 0.5000 0.5000

The 6 most intense peaks (10° ≤ 2θ ≤ 80°), in order of rising 2θ:
2θ/deg	intensity
31.17	40
34.13	59
34.88	100
42.71	59
55.76	30
73.14	26

=====

The following is a simulated powder diffraction line list of RuO4. It was derived from the GGA-PBE geometry in Alexandria, using copper Kα.
Neutral-atom scattering factors, no anomalous dispersion.

Crystal structure
abc: 9.1006 9.1006 9.1006
angles: 90.00 90.00 90.00
Positions (direct):
Ru: 0.0000 0.0000 0.0000
Ru: 0.0000 0.2500 0.5000
Ru: 0.0000 0.7500 0.5000
Ru: 0.2500 0.5000 0.0000
Ru: 0.5000 0.0000 0.2500
Ru: 0.5000 0.0000 0.7500
Ru: 0.5000 0.5000 0.5000
Ru: 0.7500 0.5000 0.0000
O: 0.1067 0.1413 0.3892
O: 0.1067 0.8587 0.6108
O: 0.1088 0.1088 0.8912
O: 0.1088 0.8912 0.1088
O: 0.1108 0.3587 0.6067
O: 0.1108 0.6413 0.3933
O: 0.1413 0.3892 0.1067
O: 0.1413 0.6108 0.8933
O: 0.3587 0.3933 0.8892
O: 0.3587 0.6067 0.1108
O: 0.3892 0.1067 0.1413
O: 0.3892 0.8933 0.8587
O: 0.3912 0.3912 0.3912
O: 0.3912 0.6088 0.6088
O: 0.3933 0.1108 0.6413
O: 0.3933 0.8892 0.3587
O: 0.6067 0.1108 0.3587
O: 0.6067 0.8892 0.6413
O: 0.6088 0.3912 0.6088
O: 0.6088 0.6088 0.3912
O: 0.6108 0.1067 0.8587
O: 0.6108 0.8933 0.1413
O: 0.6413 0.3933 0.1108
O: 0.6413 0.6067 0.8892
O: 0.8587 0.3892 0.8933
O: 0.8587 0.6108 0.1067
O: 0.8892 0.3587 0.3933
O: 0.8892 0.6413 0.6067
O: 0.8912 0.1088 0.1088
O: 0.8912 0.8912 0.8912
O: 0.8933 0.1413 0.6108
O: 0.8933 0.8587 0.3892

The 6 most intense peaks (10° ≤ 2θ ≤ 80°), in order of rising 2θ:
2θ/deg	intensity
19.51	34
21.84	100
23.95	74
34.13	21
36.96	37
57.27	23

=====

What did the third record say?
The following is a simulated powder diffraction line list of RuO4. It was derived from the GGA-PBE geometry in Alexandria, using copper Kα.
Neutral-atom scattering factors, no anomalous dispersion.

Crystal structure
abc: 9.1006 9.1006 9.1006
angles: 90.00 90.00 90.00
Positions (direct):
Ru: 0.0000 0.0000 0.0000
Ru: 0.0000 0.2500 0.5000
Ru: 0.0000 0.7500 0.5000
Ru: 0.2500 0.5000 0.0000
Ru: 0.5000 0.0000 0.2500
Ru: 0.5000 0.0000 0.7500
Ru: 0.5000 0.5000 0.5000
Ru: 0.7500 0.5000 0.0000
O: 0.1067 0.1413 0.3892
O: 0.1067 0.8587 0.6108
O: 0.1088 0.1088 0.8912
O: 0.1088 0.8912 0.1088
O: 0.1108 0.3587 0.6067
O: 0.1108 0.6413 0.3933
O: 0.1413 0.3892 0.1067
O: 0.1413 0.6108 0.8933
O: 0.3587 0.3933 0.8892
O: 0.3587 0.6067 0.1108
O: 0.3892 0.1067 0.1413
O: 0.3892 0.8933 0.8587
O: 0.3912 0.3912 0.3912
O: 0.3912 0.6088 0.6088
O: 0.3933 0.1108 0.6413
O: 0.3933 0.8892 0.3587
O: 0.6067 0.1108 0.3587
O: 0.6067 0.8892 0.6413
O: 0.6088 0.3912 0.6088
O: 0.6088 0.6088 0.3912
O: 0.6108 0.1067 0.8587
O: 0.6108 0.8933 0.1413
O: 0.6413 0.3933 0.1108
O: 0.6413 0.6067 0.8892
O: 0.8587 0.3892 0.8933
O: 0.8587 0.6108 0.1067
O: 0.8892 0.3587 0.3933
O: 0.8892 0.6413 0.6067
O: 0.8912 0.1088 0.1088
O: 0.8912 0.8912 0.8912
O: 0.8933 0.1413 0.6108
O: 0.8933 0.8587 0.3892

The 6 most intense peaks (10° ≤ 2θ ≤ 80°), in order of rising 2θ:
2θ/deg	intensity
19.51	34
21.84	100
23.95	74
34.13	21
36.96	37
57.27	23